Structure and calculated powder diffraction line list of Pr2NdGaBr3 (the PBE geometry in OQMD; Cu Kα, 1.54184 Å).

Structural model:
Lattice parameters (Å, degrees): 6.0365 6.0365 6.0346 90.00 90.00 90.00
Fractional coordinates of all 7 atoms:
1 Pr 0.0000 0.5000 0.0000
2 Pr 0.5000 0.0000 0.0000
3 Nd 0.0000 0.0000 0.5000
4 Ga 0.0000 0.0000 0.0000
5 Br 0.0000 0.5000 0.5000
6 Br 0.5000 0.0000 0.5000
7 Br 0.5000 0.5000 0.0000

Largest 10 diffraction maxima, sorted by position, 2θ = 10–90°:
14.68 deg, I = 17
20.81 deg, I = 20
29.60 deg, I = 100
33.19 deg, I = 9
36.46 deg, I = 9
42.35 deg, I = 75
52.52 deg, I = 26
61.45 deg, I = 12
69.67 deg, I = 34
77.47 deg, I = 25

***

Structure and calculated powder diffraction line list of Nd2GaSiBr2 (the PBE geometry in OQMD; Cu Kα, 1.54184 Å).

Structural model:
Lattice parameters (Å, degrees): 4.1421 4.1421 11.6207 90.00 90.00 120.00
Fractional coordinates of all 6 atoms:
1 Nd 0.0000 0.0000 0.0000
2 Nd 0.0000 0.0000 0.3626
3 Ga 0.3333 0.6667 0.1992
4 Si 0.6667 0.3333 0.1648
5 Br 0.3333 0.6667 0.8393
6 Br 0.6667 0.3333 0.5234

Largest 10 diffraction maxima, sorted by position, 2θ = 10–90°:
15.25 deg, I = 16
24.82 deg, I = 17
26.00 deg, I = 32
29.26 deg, I = 59
34.06 deg, I = 100
43.71 deg, I = 46
46.56 deg, I = 26
56.54 deg, I = 23
66.05 deg, I = 20
74.09 deg, I = 21

***

Structure and calculated powder diffraction line list of GaOsBr7 (the PBE geometry in OQMD; Cu Kα, 1.54184 Å).

Structural model:
Lattice parameters (Å, degrees): 7.1474 6.3190 15.4272 90.00 100.47 90.00
Fractional coordinates of all 18 atoms:
1 Ga 0.0000 0.0028 0.0000
2 Ga 0.0000 0.9972 0.5000
3 Os 0.7645 0.4158 0.8670
4 Os 0.7645 0.5842 0.3670
5 Br 0.0574 0.1690 0.8658
6 Br 0.0574 0.8310 0.3658
7 Br 0.2172 0.1090 0.1215
8 Br 0.2172 0.8910 0.6215
9 Br 0.4981 0.3587 0.3830
10 Br 0.4981 0.6413 0.8830
11 Br 0.5748 0.1909 0.7602
12 Br 0.5748 0.8091 0.2602
13 Br 0.6925 0.1712 0.9936
14 Br 0.6925 0.8288 0.4936
15 Br 0.8674 0.3605 0.2575
16 Br 0.8674 0.6395 0.7575
17 Br 0.9923 0.3774 0.4963
18 Br 0.9923 0.6226 0.9963

Largest 10 diffraction maxima, sorted by position, 2θ = 10–90°:
11.67 deg, I = 100
12.59 deg, I = 78
15.55 deg, I = 85
18.27 deg, I = 51
18.89 deg, I = 40
27.43 deg, I = 45
28.73 deg, I = 39
33.15 deg, I = 42
38.04 deg, I = 25
47.97 deg, I = 24

***

Structure and calculated powder diffraction line list of Pm4GaBr5 (the PBE geometry in OQMD; Cu Kα, 1.54184 Å).

Structural model:
Lattice parameters (Å, degrees): 9.6004 9.6004 8.6274 102.57 102.57 25.15
Fractional coordinates of all 10 atoms:
1 Pm 0.0003 0.0003 0.2305
2 Pm 0.9997 0.9997 0.7695
3 Pm 0.3464 0.3464 0.9185
4 Pm 0.6536 0.6536 0.0815
5 Ga 0.5000 0.5000 0.0000
6 Br 0.1666 0.1666 0.3307
7 Br 0.1713 0.1713 0.8389
8 Br 0.5000 0.5000 0.5000
9 Br 0.8287 0.8287 0.1611
10 Br 0.8334 0.8334 0.6693

Largest 10 diffraction maxima, sorted by position, 2θ = 10–90°:
10.52 deg, I = 41
29.33 deg, I = 49
29.76 deg, I = 100
41.89 deg, I = 20
42.16 deg, I = 36
42.39 deg, I = 35
43.29 deg, I = 18
53.15 deg, I = 20
61.81 deg, I = 12
69.05 deg, I = 15

***

Structure and calculated powder diffraction line list of Pm3GaBr3 (the PBE geometry in OQMD; Cu Kα, 1.54184 Å).

Structural model:
Lattice parameters (Å, degrees): 5.9564 5.9564 5.9564 90.00 90.00 90.00
Fractional coordinates of all 7 atoms:
1 Pm 0.0000 0.0000 0.5000
2 Pm 0.0000 0.5000 0.0000
3 Pm 0.5000 0.0000 0.0000
4 Ga 0.0000 0.0000 0.0000
5 Br 0.0000 0.5000 0.5000
6 Br 0.5000 0.0000 0.5000
7 Br 0.5000 0.5000 0.0000

Largest 10 diffraction maxima, sorted by position, 2θ = 10–90°:
14.87 deg, I = 17
21.09 deg, I = 20
30.00 deg, I = 100
33.64 deg, I = 10
36.97 deg, I = 9
42.95 deg, I = 74
53.28 deg, I = 26
62.36 deg, I = 12
70.73 deg, I = 33
78.70 deg, I = 25

***

Structure and calculated powder diffraction line list of Pr2SmGaBr3 (the PBE geometry in OQMD; Cu Kα, 1.54184 Å).

Structural model:
Lattice parameters (Å, degrees): 6.0117 6.0117 6.0068 90.00 90.00 90.00
Fractional coordinates of all 7 atoms:
1 Pr 0.0000 0.5000 0.0000
2 Pr 0.5000 0.0000 0.0000
3 Sm 0.0000 0.0000 0.5000
4 Ga 0.0000 0.0000 0.0000
5 Br 0.0000 0.5000 0.5000
6 Br 0.5000 0.0000 0.5000
7 Br 0.5000 0.5000 0.0000

Largest 10 diffraction maxima, sorted by position, 2θ = 10–90°:
14.74 deg, I = 17
20.90 deg, I = 20
29.73 deg, I = 100
33.34 deg, I = 10
36.62 deg, I = 9
42.55 deg, I = 75
52.76 deg, I = 26
61.74 deg, I = 12
70.01 deg, I = 34
77.86 deg, I = 25

***

Structure and calculated powder diffraction line list of Rb2ZrGaBr6 (the PBE geometry in OQMD; Cu Kα, 1.54184 Å).

Structural model:
Lattice parameters (Å, degrees): 8.0527 8.0527 8.0527 60.00 60.00 60.00
Fractional coordinates of all 10 atoms:
1 Rb 0.2500 0.2500 0.2500
2 Rb 0.7500 0.7500 0.7500
3 Zr 0.0000 0.0000 0.0000
4 Ga 0.5000 0.5000 0.5000
5 Br 0.2382 0.2382 0.7618
6 Br 0.2382 0.7618 0.2382
7 Br 0.2382 0.7618 0.7618
8 Br 0.7618 0.2382 0.2382
9 Br 0.7618 0.2382 0.7618
10 Br 0.7618 0.7618 0.2382

Largest 10 diffraction maxima, sorted by position, 2θ = 10–90°:
15.56 deg, I = 21
22.08 deg, I = 23
27.12 deg, I = 70
31.42 deg, I = 100
45.03 deg, I = 71
53.36 deg, I = 29
55.94 deg, I = 24
72.33 deg, I = 11
74.53 deg, I = 30
83.10 deg, I = 22

***

Structure and calculated powder diffraction line list of TaGaBr7 (the PBE geometry in OQMD; Cu Kα, 1.54184 Å).

Structural model:
Lattice parameters (Å, degrees): 7.4210 6.4584 15.8292 90.00 100.23 90.00
Fractional coordinates of all 18 atoms:
1 Ta 0.0000 0.0778 0.0000
2 Ta 0.0000 0.9222 0.5000
3 Ga 0.2468 0.4921 0.1392
4 Ga 0.2468 0.5079 0.6392
5 Br 0.1183 0.1359 0.3947
6 Br 0.1183 0.8641 0.8947
7 Br 0.2291 0.1291 0.6305
8 Br 0.2291 0.8709 0.1305
9 Br 0.3003 0.3326 0.0057
10 Br 0.3003 0.6674 0.5057
11 Br 0.4575 0.3837 0.2564
12 Br 0.4575 0.6163 0.7564
13 Br 0.7419 0.1338 0.5271
14 Br 0.7419 0.8662 0.0271
15 Br 0.8224 0.3173 0.8976
16 Br 0.8224 0.6827 0.3976
17 Br 0.9454 0.3330 0.1328
18 Br 0.9454 0.6670 0.6328

Largest 10 diffraction maxima, sorted by position, 2θ = 10–90°:
11.36 deg, I = 100
12.12 deg, I = 83
15.08 deg, I = 85
17.84 deg, I = 55
18.34 deg, I = 40
22.75 deg, I = 27
26.62 deg, I = 36
27.77 deg, I = 45
32.29 deg, I = 34
36.91 deg, I = 31

***

Structure and calculated powder diffraction line list of Gd2Br3 (the PBE geometry in OQMD; Cu Kα, 1.54184 Å).

Structural model:
Lattice parameters (Å, degrees): 8.5179 8.5179 10.8263 118.78 118.78 26.86
Fractional coordinates of all 10 atoms:
1 Gd 0.0816 0.0816 0.4518
2 Gd 0.3641 0.3641 0.2126
3 Gd 0.6359 0.6359 0.7874
4 Gd 0.9184 0.9184 0.5482
5 Br 0.1586 0.1586 0.0097
6 Br 0.2737 0.2737 0.3805
7 Br 0.4552 0.4552 0.7685
8 Br 0.5448 0.5448 0.2315
9 Br 0.7263 0.7263 0.6195
10 Br 0.8414 0.8414 0.9903

Largest 10 diffraction maxima, sorted by position, 2θ = 10–90°:
11.18 deg, I = 53
26.33 deg, I = 74
28.12 deg, I = 51
32.09 deg, I = 86
33.66 deg, I = 100
35.52 deg, I = 48
37.80 deg, I = 35
43.63 deg, I = 30
45.87 deg, I = 34
58.08 deg, I = 46

***

Structure and calculated powder diffraction line list of GdHIBr (the PBE geometry in OQMD; Cu Kα, 1.54184 Å).

Structural model:
Lattice parameters (Å, degrees): 3.9574 3.9574 15.3655 90.00 90.00 120.00
Fractional coordinates of all 8 atoms:
1 Gd 0.0000 0.0000 0.0000
2 Gd 0.0000 0.0000 0.5000
3 H 0.3333 0.6667 0.0000
4 H 0.6667 0.3333 0.5000
5 I 0.3333 0.6667 0.3601
6 I 0.3333 0.6667 0.6399
7 Br 0.6667 0.3333 0.1235
8 Br 0.6667 0.3333 0.8765

Largest 10 diffraction maxima, sorted by position, 2θ = 10–90°:
11.52 deg, I = 59
26.65 deg, I = 40
28.52 deg, I = 65
31.41 deg, I = 40
35.08 deg, I = 100
45.86 deg, I = 42
49.31 deg, I = 14
59.01 deg, I = 34
68.02 deg, I = 21
77.81 deg, I = 18

***

Structure and calculated powder diffraction line list of GdHoBr2O2 (the PBE geometry in OQMD; Cu Kα, 1.54184 Å).

Structural model:
Lattice parameters (Å, degrees): 3.8399 3.8399 8.4356 90.00 90.00 90.00
Fractional coordinates of all 6 atoms:
1 Gd 0.0000 0.0000 0.0000
2 Ho 0.5000 0.5000 0.2720
3 Br 0.0000 0.0000 0.4673
4 Br 0.5000 0.5000 0.8055
5 O 0.0000 0.5000 0.1398
6 O 0.5000 0.0000 0.1398

Largest 10 diffraction maxima, sorted by position, 2θ = 10–90°:
10.49 deg, I = 42
25.49 deg, I = 7
31.51 deg, I = 100
32.99 deg, I = 43
39.73 deg, I = 8
47.35 deg, I = 20
49.30 deg, I = 7
55.14 deg, I = 16
57.99 deg, I = 35
78.01 deg, I = 7

***

Structure and calculated powder diffraction line list of GdHoSbBr2 (the PBE geometry in OQMD; Cu Kα, 1.54184 Å).

Structural model:
Lattice parameters (Å, degrees): 4.2293 4.2293 10.8082 90.00 90.00 120.00
Fractional coordinates of all 5 atoms:
1 Gd 0.0000 0.0000 0.0000
2 Ho 0.3333 0.6667 0.3214
3 Sb 0.6667 0.3333 0.1638
4 Br 0.0000 0.0000 0.4780
5 Br 0.3333 0.6667 0.8398

Largest 10 diffraction maxima, sorted by position, 2θ = 10–90°:
25.68 deg, I = 12
29.46 deg, I = 100
34.93 deg, I = 15
41.53 deg, I = 38
42.76 deg, I = 35
52.78 deg, I = 19
61.13 deg, I = 12
68.41 deg, I = 16
70.18 deg, I = 16
77.47 deg, I = 12

***

Structure and calculated powder diffraction line list of Gd2IBrO2 (the PBE geometry in OQMD; Cu Kα, 1.54184 Å).

Structural model:
Lattice parameters (Å, degrees): 3.9234 3.9234 8.9894 90.00 90.00 90.00
Fractional coordinates of all 6 atoms:
1 Gd 0.0000 0.0000 0.0000
2 Gd 0.5000 0.5000 0.2542
3 I 0.0000 0.0000 0.4668
4 Br 0.5000 0.5000 0.8170
5 O 0.0000 0.5000 0.1276
6 O 0.5000 0.0000 0.1276

Largest 10 diffraction maxima, sorted by position, 2θ = 10–90°:
30.24 deg, I = 100
32.27 deg, I = 43
37.78 deg, I = 13
46.28 deg, I = 20
52.39 deg, I = 16
56.28 deg, I = 35
61.46 deg, I = 7
62.88 deg, I = 7
75.75 deg, I = 8
76.83 deg, I = 7

***

Structure and calculated powder diffraction line list of GdYIn2Br2 (the PBE geometry in OQMD; Cu Kα, 1.54184 Å).

Structural model:
Lattice parameters (Å, degrees): 4.4338 4.4338 10.8704 90.00 90.00 120.00
Fractional coordinates of all 6 atoms:
1 Gd 0.0000 0.0000 0.0000
2 Y 0.0000 0.0000 0.5906
3 In 0.3333 0.6667 0.8436
4 In 0.6667 0.3333 0.7456
5 Br 0.3333 0.6667 0.4418
6 Br 0.6667 0.3333 0.1508

Largest 10 diffraction maxima, sorted by position, 2θ = 10–90°:
28.46 deg, I = 100
34.02 deg, I = 53
40.70 deg, I = 63
48.10 deg, I = 30
50.41 deg, I = 20
54.06 deg, I = 14
64.78 deg, I = 14
66.71 deg, I = 18
74.05 deg, I = 15
79.38 deg, I = 14